No. 1
Calculated PXRD pattern of Ac2YTl for Cu Kα, 1.54184 Å, from a structure optimized by DFT (GGA-PBE).
Lines closer than 0.1° are merged.

Largest 10 diffraction maxima, low angle first, 5° ≤ 2θ ≤ 70°:
| h k l | 2theta | d (Å) | I_rel |
| --- | --- | --- | --- |
| 0 0 3 | 7.68 | 11.515 | 29 |
| 0 1 2 | 26.78 | 3.330 | 38 |
| 0 1 5 | 29.32 | 3.046 | 100 |
| 0 0 12 | 31.07 | 2.879 | 34 |
| 1 0 7 | 32.01 | 2.796 | 64 |
| 1 0 10 | 37.14 | 2.421 | 27 |
| 1 1 0 | 46.35 | 1.959 | 36 |
| 0 1 17 | 52.49 | 1.743 | 22 |
| 1 1 12 | 56.85 | 1.620 | 38 |
| 0 2 7 | 57.46 | 1.604 | 21 |

Structural model:
Cell lengths 3.9181, 3.9181, 34.5464 Å; angles 90.00, 90.00, 120.00 degrees
Space group R3m (No. 160, hexagonal axes)
One atom of each set of equivalent atoms:
Ac: 0.0000 0.0000 0.0000
Ac: 0.0000 0.0000 0.1746
Y: 0.0000 0.0000 0.7539
Tl: 0.0000 0.0000 0.5872

No. 2
Calculated PXRD pattern of HgTeF6 for Cu Kα, 1.54184 Å, from a structure optimized by DFT (GGA-PBE).
Lines closer than 0.1° are merged.

Largest 10 diffraction maxima, low angle first, 5° ≤ 2θ ≤ 70°:
| h k l | 2theta | d (Å) | I_rel |
| --- | --- | --- | --- |
| 1 0 1 | 20.15 | 4.407 | 100 |
| 1 0 2 | 24.85 | 3.583 | 98 |
| 1 0 3 | 31.22 | 2.865 | 30 |
| 1 1 0 | 32.03 | 2.794 | 36 |
| 2 0 1 | 38.14 | 2.360 | 16 |
| 2 0 2 | 40.96 | 2.203 | 25 |
| 2 -1 4 | 47.12 | 1.929 | 49 |
| 2 1 1 | 50.63 | 1.803 | 18 |
| 3 -1 2 | 52.92 | 1.730 | 25 |
| 3 0 0 | 57.09 | 1.613 | 16 |

Structural model:
Cell lengths 5.5883, 5.5883, 10.6618 Å; angles 90.00, 90.00, 120.00 degrees
Space group P-31c (No. 163)
One atom of each set of equivalent atoms:
Hg: 0.3333 0.6667 0.2500
Te: 0.0000 0.0000 0.0000
F: 0.0268 0.3144 0.1149

No. 3
Calculated PXRD pattern of Sn5PbCl12 for Cu Kα, 1.54184 Å, from a structure optimized by DFT (GGA-PBE).
Lines closer than 0.1° are merged.

Largest 10 diffraction maxima, low angle first, 5° ≤ 2θ ≤ 70°:
| h k l | 2theta | d (Å) | I_rel |
| --- | --- | --- | --- |
| 0 0 2 | 13.75 | 6.441 | 100 |
| 1 3 1 | 24.77 | 3.594 | 60 |
| 1 3 2 | 27.56 | 3.236 | 16 |
| 2 0 2 | 27.65 | 3.226 | 32 |
| 1 3 -3 | 31.71 | 2.822 | 67 |
| 2 0 -4 | 36.86 | 2.439 | 13 |
| 0 6 0 | 41.73 | 2.165 | 13 |
| 3 3 -1 | 42.53 | 2.126 | 42 |
| 1 3 -5 | 42.60 | 2.122 | 33 |
| 2 6 4 | 56.90 | 1.618 | 14 |

Structural model:
Cell lengths 7.4545, 12.9876, 12.8812 Å; angles 90.00, 90.09, 90.00 degrees
Space group C2/m (No. 12)
One atom of each set of equivalent atoms:
Sn: 0.0000 0.0000 0.0000
Sn: 0.0000 0.1666 0.5000
Sn: 0.0000 0.3333 0.0000
Pb: 0.0000 0.5000 0.5000
Cl: 0.1614 0.0000 0.6159
Cl: 0.1658 0.1667 0.8859
Cl: 0.1656 0.5000 0.8857
Cl: 0.1686 0.3310 0.6158